No. 1
Structure and simulated powder X-ray diffraction pattern of BeTc2Se (a cell relaxed with PBE; Cu Kα (weighted mean of Kα1 and Kα2)).
Lines closer than 0.1° are merged.

Structure:
```
data_BeTc2Se
_chemical_formula_sum 'Be2 Tc4 Se2'
_space_group_name_H-M_alt 'C 1 m 1'
_space_group_IT_number 8
_cell_length_a 8.479
_cell_length_b 3.027
_cell_length_c 4.388
_cell_angle_alpha 90.00
_cell_angle_beta 106.97
_cell_angle_gamma 90.00
loop_
_space_group_symop_operation_xyz
'x,y,z'
'x,-y,z'
'x+1/2,y+1/2,z'
'x+1/2,-y+1/2,z'
loop_
_atom_site_label
_atom_site_type_symbol
_atom_site_fract_x
_atom_site_fract_y
_atom_site_fract_z
_atom_site_occupancy
Be1 Be 0.000 0.000 0.000 1
Tc1 Tc 0.003 0.500 0.525 1
Tc2 Tc 0.264 0.000 0.877 1
Se1 Se 0.248 0.500 0.314 1
```

Principal peaks in the range 2θ = 5–70°, by angle:
2θ = 21.92°, rel. 17, hkl 2 0 0
2θ = 25.71°, rel. 32, hkl 2 0 -1
2θ = 31.55°, rel. 29, hkl 1 1 0
2θ = 34.97°, rel. 23, hkl 2 0 1
2θ = 36.38°, rel. 16, hkl 1 1 -1
2θ = 40.15°, rel. 100, hkl 1 1 1
2θ = 42.33°, rel. 37, hkl 2 0 -2
2θ = 44.70°, rel. 39, hkl 4 0 0
2θ = 45.47°, rel. 74, hkl 3 1 -1
2θ = 61.24°, rel. 15, hkl 0 2 0

***

No. 2
Structure and simulated powder X-ray diffraction pattern of Be2TeWSe (a cell relaxed with PBE; Cu Kα (weighted mean of Kα1 and Kα2)).
Lines closer than 0.1° are merged.

Structure:
```
data_Be2TeWSe
_chemical_formula_sum 'Be2 Te1 W1 Se1'
_space_group_name_H-M_alt 'P 4/m m m'
_space_group_IT_number 123
_space_group_name_Hall '-P 4 2'
_cell_length_a 4.317
_cell_length_b 4.317
_cell_length_c 4.880
_cell_angle_alpha 90.00
_cell_angle_beta 90.00
_cell_angle_gamma 90.00
loop_
_atom_site_label
_atom_site_type_symbol
_atom_site_fract_x
_atom_site_fract_y
_atom_site_fract_z
_atom_site_occupancy
Be1 Be 0.000 0.500 0.000 1
Te1 Te 0.000 0.000 0.500 1
W1 W 0.500 0.500 0.500 1
Se1 Se 0.500 0.500 0.000 1
```

Principal peaks in the range 2θ = 5–70°, by angle:
2θ = 18.18°, rel. 50, hkl 0 0 1
2θ = 20.58°, rel. 32, hkl 1 0 0
2θ = 29.26°, rel. 100, hkl 1 1 0
2θ = 34.66°, rel. 52, hkl 1 1 1
2θ = 36.84°, rel. 31, hkl 0 0 2
2θ = 41.86°, rel. 43, hkl 2 0 0
2θ = 45.98°, rel. 19, hkl 2 0 1
2θ = 47.72°, rel. 52, hkl 1 1 2
2θ = 56.96°, rel. 35, hkl 2 0 2
2θ = 68.77°, rel. 17, hkl 3 1 0